The following is a simulated X-ray diffraction stick pattern of Ga2CuTe2. It was derived from the PBE geometry in Alexandria, using Cu Ka.

Principal peaks in the range 2θ from 10° to 90°, by angle:
2θ/deg  Rel. int.
21.0  21
26.7  25
31.4  21
32.9  26
33.5  100
36.9  27
39.3  32
42.7  24
52.2  23
53.6  21

Crystal structure
a = 7.7039 Å, b = 7.7039 Å, c = 4.2349 Å
α = 90.00°, β = 90.00°, γ = 90.00°
Sites, in units of the cell vectors:
Ga: 0.1209 0.3791 0.0000
Ga: 0.3791 0.8791 0.0000
Ga: 0.6209 0.1209 0.0000
Ga: 0.8791 0.6209 0.0000
Cu: 0.0000 0.0000 0.5000
Cu: 0.5000 0.5000 0.5000
Te: 0.2015 0.7015 0.5000
Te: 0.2985 0.2015 0.5000
Te: 0.7015 0.7985 0.5000
Te: 0.7985 0.2985 0.5000